Record 1
Computed powder diffraction line list of Li3LaMg3 for Cu Ka, from a DFT-relaxed cell (PBE, Alexandria).
Intensities are scaled so that the largest is 100.

Main lines, low angle first (10 to 80 degrees two-theta):
- d = 5.061 Å, I = 75.3
- d = 3.578 Å, I = 42.6
- d = 2.922 Å, I = 100.0
- d = 2.263 Å, I = 19.5
- d = 1.913 Å, I = 58.4
- d = 1.600 Å, I = 16.4
- d = 1.526 Å, I = 13.9
- d = 1.307 Å, I = 16.4

Atomic structure:
```
data_Li3LaMg3
_chemical_formula_sum 'Li6 La2 Mg6'
_symmetry_space_group_name_H-M 'P m -3 n'
_symmetry_Int_Tables_number 223
_symmetry_space_group_name_Hall '-P 4n 2 3'
_cell_length_a 7.157
_cell_length_b 7.157
_cell_length_c 7.157
_cell_angle_alpha 90.00
_cell_angle_beta 90.00
_cell_angle_gamma 90.00
loop_
_atom_site_label
_atom_site_fract_x
_atom_site_fract_y
_atom_site_fract_z
Li1 0.000 0.250 0.500
La1 0.000 0.000 0.000
Mg1 0.000 0.500 0.250
```

---

Record 2
Computed powder diffraction line list of Li8LaMg3 for Cu Ka, from a DFT-relaxed cell (PBE, Alexandria).
Intensities are scaled so that the largest is 100.

Main lines, low angle first (10 to 80 degrees two-theta):
- d = 4.914 Å, I = 79.5
- d = 4.335 Å, I = 100.0
- d = 3.360 Å, I = 59.8
- d = 2.837 Å, I = 52.6
- d = 2.603 Å, I = 67.3
- d = 2.415 Å, I = 49.5
- d = 1.723 Å, I = 32.7
- d = 1.589 Å, I = 29.0

Atomic structure:
```
data_Li8LaMg3
_chemical_formula_sum 'Li8 La1 Mg3'
_symmetry_space_group_name_H-M 'P 3 m 1'
_symmetry_Int_Tables_number 156
_cell_length_a 5.6739
_cell_length_b 5.6739
_cell_length_c 9.2089
_cell_angle_alpha 90.00
_cell_angle_beta 90.00
_cell_angle_gamma 120.00
loop_
_symmetry_equiv_pos_as_xyz
'x,y,z'
'-y,x-y,z'
'-x+y,-x,z'
'-y,-x,z'
'-x+y,y,z'
'x,x-y,z'
loop_
_atom_site_label
_atom_site_fract_x
_atom_site_fract_y
_atom_site_fract_z
Li1 0.0000 0.0000 0.0000
Li2 0.0000 0.0000 0.4914
Li3 0.1729 0.3458 0.2656
Li4 0.3362 0.1681 0.7412
La1 0.6667 0.3333 0.0669
Mg1 0.3333 0.6667 0.5673
Mg2 0.3333 0.6667 0.9258
Mg3 0.6667 0.3333 0.4457
```

---

Record 3
Computed powder diffraction line list of LiLaMg6O8 for Cu Ka, from a DFT-relaxed cell (PBE, Alexandria).
Intensities are scaled so that the largest is 100.

Main lines, low angle first (10 to 80 degrees two-theta):
- d = 4.453 Å, I = 59.9
- d = 3.989 Å, I = 89.8
- d = 3.161 Å, I = 51.7
- d = 2.577 Å, I = 44.7
- d = 2.244 Å, I = 47.0
- d = 2.226 Å, I = 100.0
- d = 1.580 Å, I = 55.8
- d = 1.574 Å, I = 30.0

Atomic structure:
```
data_LiLaMg6O8
_chemical_formula_sum 'Li1 La1 Mg6 O8'
_symmetry_space_group_name_H-M 'P 4/m m m'
_symmetry_Int_Tables_number 123
_symmetry_space_group_name_Hall '-P 4 2'
_cell_length_a 4.453
_cell_length_b 4.453
_cell_length_c 8.975
_cell_angle_alpha 90.00
_cell_angle_beta 90.00
_cell_angle_gamma 90.00
loop_
_atom_site_label
_atom_site_fract_x
_atom_site_fract_y
_atom_site_fract_z
Li1 0.000 0.000 0.000
La1 0.500 0.500 0.000
Mg1 0.000 0.000 0.500
Mg2 0.000 0.500 0.268
Mg3 0.500 0.500 0.500
O1 0.000 0.000 0.266
O2 0.000 0.500 0.000
O3 0.000 0.500 0.500
O4 0.500 0.500 0.273
```